Li2GaNiF8: theoretical XRD peak list (Cu Ka), based on the PBE+U geometry in Alexandria.
Lines closer than 0.1° are merged.

a = 4.6630 Å, b = 4.6630 Å, c = 6.0511 Å
α = 90.00°, β = 90.00°, γ = 93.85°
Sites, in units of the cell vectors:
Li 0.0000 0.0000 0.2472
Li 0.0000 0.0000 0.7528
Ga 0.5000 0.5000 0.0000
Ni 0.5000 0.5000 0.5000
F 0.2086 0.2086 0.0000
F 0.2098 0.2098 0.5000
F 0.3139 0.6861 0.2507
F 0.3139 0.6861 0.7493
F 0.6861 0.3139 0.2507
F 0.6861 0.3139 0.7493
F 0.7902 0.7902 0.5000
F 0.7914 0.7914 0.0000

The 10 most intense peaks (5° ≤ 2θ ≤ 70°), by angle:
19.1°, I 100; 26.2°, I 36; 28.0°, I 26; 29.5°, I 14; 35.4°, I 21; 39.9°, I 52; 44.7°, I 24; 52.4°, I 26; 54.5°, I 17; 67.9°, I 19